(1)
Starting from a structure optimized by DFT (PBE), the X-ray powder pattern of Th4SnCSe2 was computed for Cu Kα (weighted mean of Kα1 and Kα2).
Kinematic intensities with the Lorentz-polarization factor, no thermal factor.

Largest 10 diffraction maxima, in order of falling intensity, 2θ = 10–90°:
Position (°2θ)  d/Å  Rel. int.
28.27  3.157  100
28.97  3.082  64
27.77  3.212  54
32.93  2.720  33
42.83  2.111  21
48.42  1.880  20
52.11  1.755  18
38.31  2.350  16
56.44  1.630  15
40.51  2.227  15

Structure:
```
Th4SnCSe2
1.0
7.396 0.000 0.000
0.000 7.753 0.000
0.000 0.000 8.031
Th Sn C Se
8 2 2 4
Direct
0.176 0.160 0.196
0.176 0.840 0.804
0.324 0.340 0.696
0.324 0.660 0.304
0.676 0.340 0.304
0.676 0.660 0.696
0.824 0.160 0.804
0.824 0.840 0.196
0.000 0.500 0.000
0.500 0.000 0.500
0.000 0.000 0.000
0.500 0.500 0.500
0.000 0.273 0.500
0.000 0.727 0.500
0.500 0.227 0.000
0.500 0.773 0.000
```

=====

(2)
Starting from a structure optimized by DFT (PBE), the X-ray powder pattern of CaPmInRh was computed for Cu Kα (weighted mean of Kα1 and Kα2).
Kinematic intensities with the Lorentz-polarization factor, no thermal factor.

Largest 10 diffraction maxima, in order of falling intensity, 2θ = 10–90°:
Position (°2θ)  d/Å  Rel. int.
34.70  2.585  100
62.20  1.492  35
49.89  1.828  17
83.65  1.156  15
21.05  4.221  15
73.23  1.293  11
40.94  2.205  8
54.72  1.677  4
66.44  1.407  3
77.19  1.236  3

Structure:
```
CaPmInRh
1.0
7.312 0.000 0.000
0.000 7.312 0.000
0.000 0.000 7.312
Ca Pm In Rh
4 4 4 4
Direct
0.000 0.000 0.000
0.000 0.500 0.500
0.500 0.000 0.500
0.500 0.500 0.000
0.000 0.000 0.500
0.000 0.500 0.000
0.500 0.000 0.000
0.500 0.500 0.500
0.250 0.250 0.250
0.250 0.750 0.750
0.750 0.250 0.750
0.750 0.750 0.250
0.250 0.250 0.750
0.250 0.750 0.250
0.750 0.250 0.250
0.750 0.750 0.750
```

=====

(3)
Starting from a structure optimized by DFT (PBE), the X-ray powder pattern of CsLiMnSe2 was computed for Cu Kα (weighted mean of Kα1 and Kα2).
Kinematic intensities with the Lorentz-polarization factor, no thermal factor.

Largest 10 diffraction maxima, in order of falling intensity, 2θ = 10–90°:
Position (°2θ)  d/Å  Rel. int.
26.67  3.342  100
40.26  2.240  22
49.30  1.848  18
48.60  1.873  16
28.45  3.138  16
45.97  1.974  13
46.33  1.960  13
27.89  3.199  13
13.84  6.397  12
35.93  2.499  11

Structure:
```
CsLiMnSe2
1.0
3.138 -7.529 0.000
3.138 7.529 0.000
0.000 0.000 6.397
Cs Li Mn Se
2 2 2 4
Direct
0.250 0.750 0.753
0.750 0.250 0.247
0.000 0.000 0.000
0.500 0.500 0.000
0.250 0.250 0.500
0.750 0.750 0.500
0.102 0.898 0.288
0.398 0.602 0.288
0.602 0.398 0.712
0.898 0.102 0.712
```

=====

(4)
Starting from a structure optimized by DFT (PBE), the X-ray powder pattern of Ho3Cd2 was computed for Cu Kα (weighted mean of Kα1 and Kα2).
Kinematic intensities with the Lorentz-polarization factor, no thermal factor.

Largest 10 diffraction maxima, in order of falling intensity, 2θ = 10–90°:
Position (°2θ)  d/Å  Rel. int.
32.98  2.716  100
34.66  2.588  51
61.06  1.518  34
49.83  1.830  18
57.81  1.595  12
83.53  1.157  8
36.20  2.481  8
82.59  1.168  7
69.19  1.358  7
44.75  2.025  6

Structure:
```
Ho3Cd2
1.0
3.660 0.000 0.000
0.000 3.660 0.000
0.000 0.000 20.252
Ho Cd
6 4
Direct
0.000 0.000 0.000
0.000 0.000 0.188
0.000 0.000 0.381
0.000 0.000 0.619
0.000 0.000 0.812
0.500 0.500 0.500
0.500 0.500 0.095
0.500 0.500 0.284
0.500 0.500 0.716
0.500 0.500 0.905
```

=====

(5)
Starting from a structure optimized by DFT (PBE), the X-ray powder pattern of Pr2Zn3GaPd4 was computed for Cu Kα (weighted mean of Kα1 and Kα2).
Kinematic intensities with the Lorentz-polarization factor, no thermal factor.

Largest 10 diffraction maxima, in order of falling intensity, 2θ = 10–90°:
Position (°2θ)  d/Å  Rel. int.
34.09  2.630  100
32.84  2.727  61
42.20  2.142  61
47.83  1.902  28
54.48  1.684  28
71.95  1.312  22
65.66  1.422  22
61.21  1.514  20
45.45  1.996  18
86.26  1.128  14

Structure:
```
Pr2Zn3GaPd4
1.0
4.283 0.000 0.000
0.000 4.283 0.000
0.000 0.000 10.611
Pr Zn Ga Pd
2 3 1 4
Direct
0.000 0.500 0.246
0.500 0.000 0.754
0.000 0.500 0.868
0.500 0.000 0.132
0.500 0.500 0.500
0.000 0.000 0.500
0.000 0.000 0.000
0.000 0.500 0.632
0.500 0.000 0.368
0.500 0.500 0.000
```

=====

(6)
Starting from a structure optimized by DFT (PBE), the X-ray powder pattern of Nd3ScTl2 was computed for Cu Kα (weighted mean of Kα1 and Kα2).
Kinematic intensities with the Lorentz-polarization factor, no thermal factor.

Largest 10 diffraction maxima, in order of falling intensity, 2θ = 10–90°:
Position (°2θ)  d/Å  Rel. int.
38.36  2.346  100
34.60  2.592  78
34.44  2.604  77
37.55  2.395  66
28.86  3.094  45
29.05  3.074  44
26.97  3.306  41
26.76  3.331  41
50.89  1.794  37
58.64  1.574  34

Structure:
```
Nd3ScTl2
1.0
-3.331 8.356 3.306
3.331 -8.356 3.306
3.331 8.356 -3.306
Nd Sc Tl
6 2 4
Direct
0.176 0.748 0.924
0.250 0.250 0.000
0.324 0.248 0.572
0.676 0.752 0.428
0.750 0.750 0.000
0.824 0.252 0.076
0.250 0.750 0.500
0.750 0.250 0.500
0.132 0.266 0.398
0.368 0.766 0.135
0.632 0.234 0.865
0.868 0.734 0.602
```